Entry 1:
For Al2CuSi4, a structure optimized by DFT (GGA-PBE) gives the theoretical X-ray powder pattern in this record (Cu Kα).

Cell and atoms:
Cell: 6.8674 3.6828 9.8495 Å, 90.00 98.08 90.00°
Space group P2_1/m (No. 11)
Symmetry-distinct sites (fractional):
1 Al 0.1624 0.2500 0.4618 x2
2 Al 0.3241 0.2500 0.0523 x2
3 Cu 0.2931 0.7500 0.8620 x2
4 Si 0.0584 0.2500 0.2046 x2
5 Si 0.1208 0.2500 0.7138 x2
6 Si 0.4233 0.7500 0.4335 x2
7 Si 0.4782 0.2500 0.7899 x2

The 10 most intense peaks (5° ≤ 2θ ≤ 70°), by angle:
hkl 1 0 -1, 2θ 14.8, I 79
hkl 1 0 -2, 2θ 20.9, I 70
hkl 0 0 3, 2θ 27.4, I 44
hkl 0 1 2, 2θ 30.4, I 83
hkl 2 1 0, 2θ 36.0, I 46
hkl 2 1 1, 2θ 38.1, I 48
hkl 1 1 -4, 2θ 45.0, I 100
hkl 3 1 -2, 2θ 48.6, I 50
hkl 3 1 1, 2θ 49.2, I 41
hkl 0 2 0, 2θ 49.5, I 51

Entry 2:
For Pr5Ho2Mg, a structure optimized by DFT (GGA-PBE) gives the theoretical X-ray powder pattern in this record (Cu Kα).

Cell and atoms:
Cell: 7.2546 7.2546 10.0681 Å, 90.00 90.00 90.00°
Space group I4/mmm (No. 139)
Symmetry-distinct sites (fractional):
1 Pr 0.0000 0.0000 0.0000 x2
2 Pr 0.2500 0.2500 0.2500 x8
3 Ho 0.0000 0.5000 0.0000 x4
4 Mg 0.0000 0.0000 0.5000 x2

The 10 most intense peaks (5° ≤ 2θ ≤ 70°), by angle:
hkl 1 0 1, 2θ 15.1, I 6
hkl 1 1 0, 2θ 17.3, I 4
hkl 2 0 2, 2θ 30.4, I 100
hkl 2 2 0, 2θ 35.0, I 34
hkl 0 0 4, 2θ 35.7, I 16
hkl 4 0 0, 2θ 50.3, I 12
hkl 2 2 4, 2θ 50.8, I 24
hkl 4 2 2, 2θ 59.9, I 29
hkl 2 0 6, 2θ 60.8, I 14
hkl 4 0 4, 2θ 63.2, I 12